Simulated powder XRD pattern
Compound: MgNbF
Radiation: Cu Kα X-rays
Structure: a crystal structure in Alexandria, relaxed with GGA-PBE

```
data_MgNbF
_symmetry_space_group_name_H-M 'P 1'
_symmetry_Int_Tables_number 1
_symmetry_space_group_name_Hall 'P 1'
_cell_length_a 3.0628
_cell_length_b 7.7336
_cell_length_c 4.3904
_cell_angle_alpha 90.00
_cell_angle_beta 90.00
_cell_angle_gamma 90.00
loop_
_atom_site_label
_atom_site_type_symbol
_atom_site_fract_x
_atom_site_fract_y
_atom_site_fract_z
Mg1 Mg 0.0000 0.1564 0.0000
Mg2 Mg 0.5000 0.8436 0.5000
Nb1 Nb 0.0000 0.4942 0.4907
Nb2 Nb 0.5000 0.5058 0.9907
F1 F 0.0000 0.9891 0.3570
F2 F 0.5000 0.0109 0.8570
```

Main lines, sorted by position (2θ = 10–90°):
2θ 11.44, I = 100, (0 1 0)
2θ 23.00, I = 63, (0 2 0)
2θ 34.80, I = 19, (0 3 0)
2θ 35.75, I = 25, (1 0 1)
2θ 37.65, I = 59, (1 1 1)
2θ 41.12, I = 17, (0 0 2)
2θ 42.82, I = 15, (0 1 2)
2θ 42.94, I = 59, (1 2 1)
2θ 54.94, I = 15, (0 3 2)
2θ 60.43, I = 30, (2 0 0)